This entry pairs a crystal structure of K2Mn2P2O7F2 with its theoretical X-ray diffraction stick pattern. Radiation: Cu Kα (λ = 1.5418 Å). Structure: a PBE+U-relaxed structure.
Intensities are scaled so that the largest is 100.

Peak list (12 most intense, 10 to 90 degrees two-theta, most intense first)
2θ (°)	intensity	h k l
31.08	100	2 2 1
31.39	100	1 3 2
28.94	61	1 1 3
48.77	60	3 3 2
16.96	47	1 1 1
30.45	37	2 0 2
14.84	36	1 1 0
32.31	35	0 4 1
52.27	31	4 0 0
54.74	27	2 6 0
53.06	23	0 4 5
29.27	20	0 2 3

Lattice parameters (Å, degrees): 6.993 11.466 10.811 90.00 90.00 90.00
Space group Pbcn (No. 60)
Asymmetric unit:
K  0.000  0.173  0.064 (multiplicity 8)
Mn  0.000  0.334  0.750 (multiplicity 4)
Mn  0.000  0.500  0.000 (multiplicity 4)
P  0.216  0.078  0.749 (multiplicity 8)
O  0.000  0.020  0.750 (multiplicity 4)
O  0.175  0.487  0.827 (multiplicity 8)
O  0.202  0.198  0.810 (multiplicity 8)
O  0.224  0.416  0.113 (multiplicity 8)
F  0.117  0.344  0.571 (multiplicity 8)